1.
Pm9Tm4Pu: theoretical XRD peak list (Cu Kα), based on a DFT-relaxed cell (PBE, Alexandria).

Peak list (10 most intense, 2θ from 10° to 80°, low angle first)
22.34 deg, I = 10.1
31.95 deg, I = 23.1
32.10 deg, I = 100.0
32.53 deg, I = 29.4
36.53 deg, I = 10.1
52.14 deg, I = 18.1
56.08 deg, I = 13.4
56.46 deg, I = 14.8
57.22 deg, I = 7.3
66.07 deg, I = 18.3

Structure:
Cell: 9.839 9.839 11.153 Å, 90.00 90.00 120.00°
Sites, in units of the cell vectors:
Pm  0.072  0.536  0.250
Pm  0.209  0.417  0.535
Pm  0.209  0.417  0.965
Pm  0.209  0.791  0.535
Pm  0.209  0.791  0.965
Pm  0.417  0.209  0.035
Pm  0.417  0.209  0.465
Pm  0.464  0.536  0.250
Pm  0.464  0.928  0.250
Pm  0.536  0.072  0.750
Pm  0.536  0.464  0.750
Pm  0.583  0.791  0.535
Pm  0.583  0.791  0.965
Pm  0.791  0.209  0.035
Pm  0.791  0.209  0.465
Pm  0.791  0.583  0.035
Pm  0.791  0.583  0.465
Pm  0.928  0.464  0.750
Tm  0.000  0.000  0.000
Tm  0.000  0.000  0.500
Tm  0.111  0.221  0.250
Tm  0.111  0.889  0.250
Tm  0.221  0.111  0.750
Tm  0.779  0.889  0.250
Tm  0.889  0.111  0.750
Tm  0.889  0.779  0.750
Pu  0.333  0.667  0.750
Pu  0.667  0.333  0.250

=====

2.
Rb4CuO2: theoretical XRD peak list (Cu Kα), based on a DFT-relaxed cell (PBE, Alexandria).

Peak list (10 most intense, 2θ from 10° to 80°, low angle first)
26.92 deg, I = 100.0
32.67 deg, I = 84.9
42.83 deg, I = 28.2
43.55 deg, I = 27.5
54.89 deg, I = 27.0
55.49 deg, I = 13.1
58.31 deg, I = 15.0
65.90 deg, I = 15.5
70.06 deg, I = 10.3
75.00 deg, I = 10.8

Structure:
Cell: 8.329 8.329 8.329 Å, 38.43 38.43 38.43°
Sites, in units of the cell vectors:
Rb  0.111  0.111  0.111
Rb  0.300  0.300  0.300
Rb  0.700  0.700  0.700
Rb  0.889  0.889  0.889
Cu  0.500  0.500  0.500
O  0.421  0.421  0.421
O  0.579  0.579  0.579

=====

3.
PmMg4Pt: theoretical XRD peak list (Cu Kα), based on a DFT-relaxed cell (PBE, Alexandria).

Peak list (10 most intense, 2θ from 10° to 80°, low angle first)
15.56 deg, I = 48.8
20.26 deg, I = 100.0
21.10 deg, I = 81.7
25.86 deg, I = 56.4
29.42 deg, I = 92.8
33.61 deg, I = 89.9
37.43 deg, I = 41.7
42.96 deg, I = 31.1
43.36 deg, I = 35.5
47.93 deg, I = 37.7

Structure:
Cell: 8.766 4.210 7.494 Å, 90.00 90.00 90.00°
Sites, in units of the cell vectors:
Pm  0.250  0.000  0.097
Pm  0.750  0.000  0.903
Mg  0.000  0.000  0.500
Mg  0.062  0.500  0.804
Mg  0.250  0.500  0.454
Mg  0.438  0.500  0.804
Mg  0.500  0.000  0.500
Mg  0.562  0.500  0.196
Mg  0.750  0.500  0.546
Mg  0.938  0.500  0.196
Pt  0.250  0.000  0.705
Pt  0.750  0.000  0.295

=====

4.
Nb5PdS8: theoretical XRD peak list (Cu Kα), based on a DFT-relaxed cell (PBE, Alexandria).

Peak list (10 most intense, 2θ from 10° to 80°, low angle first)
14.72 deg, I = 20.3
24.16 deg, I = 45.1
28.41 deg, I = 100.0
34.43 deg, I = 25.0
42.50 deg, I = 27.0
45.22 deg, I = 60.5
49.48 deg, I = 62.7
67.24 deg, I = 17.3
69.26 deg, I = 21.9
77.77 deg, I = 15.2

Structure:
Cell: 7.368 7.368 7.368 Å, 60.00 60.00 60.00°
Sites, in units of the cell vectors:
Nb  0.000  0.000  0.000
Nb  0.187  0.604  0.604
Nb  0.604  0.187  0.604
Nb  0.604  0.604  0.187
Nb  0.604  0.604  0.604
Pd  0.250  0.250  0.250
S  0.376  0.376  0.376
S  0.376  0.376  0.872
S  0.376  0.872  0.376
S  0.403  0.866  0.866
S  0.866  0.403  0.866
S  0.866  0.866  0.403
S  0.866  0.866  0.866
S  0.872  0.376  0.376